Sr3CaAl8: computed powder diffraction line list (Cu Kα (weighted mean of Kα1 and Kα2)), based on a cell relaxed with GGA-PBE.

Main lines, low angle first (10° ≤ 2θ ≤ 90°):
2theta	intensity
18.60	31
30.53	71
30.95	69
35.99	52
36.17	100
36.53	51
54.53	27
58.00	25
58.25	25
63.56	24

Structural model:
Cell lengths 9.968, 9.968, 9.968 Å; angles 34.16, 34.16, 34.16 degrees
Fractional coordinates of all 12 atoms:
Sr 0.000 0.000 0.000
Sr 0.125 0.125 0.125
Sr 0.624 0.624 0.624
Ca 0.500 0.500 0.500
Al 0.061 0.061 0.561
Al 0.061 0.561 0.061
Al 0.064 0.562 0.562
Al 0.312 0.312 0.312
Al 0.561 0.061 0.061
Al 0.562 0.064 0.562
Al 0.562 0.562 0.064
Al 0.812 0.812 0.812